This entry pairs a crystal structure of RbNa5InHg2 with its simulated X-ray powder pattern. Radiation: copper Kα. Structure: a DFT-relaxed cell (PBE, Alexandria).
Peak positions follow from Bragg's law for the DFT cell and can differ from measured ones.

Principal peaks in the range 2θ = 10–90°, by intensity:
21.9°, I 100
15.4°, I 97
38.3°, I 68
31.1°, I 56
34.9°, I 55
60.2°, I 37
44.5°, I 35
47.4°, I 29
50.1°, I 23
17.2°, I 21

Crystal structure
Cell lengths 5.750, 5.750, 11.521 Å; angles 90.00, 90.00, 90.00 degrees
Atoms (fractional coordinates):
Rb1 0.000 0.000 0.000
Na1 0.000 0.500 0.346
Na2 0.000 0.500 0.654
Na3 0.500 0.000 0.346
Na4 0.500 0.000 0.654
Na5 0.500 0.500 0.000
In1 0.500 0.500 0.500
Hg1 0.500 0.500 0.248
Hg2 0.500 0.500 0.752

=====

This entry pairs a crystal structure of NaIn4SnHg2 with its simulated X-ray powder pattern. Radiation: copper Kα. Structure: a DFT-relaxed cell (PBE, Alexandria).
Peak positions follow from Bragg's law for the DFT cell and can differ from measured ones.

Principal peaks in the range 2θ = 10–90°, by intensity:
37.2°, I 100
20.3°, I 46
31.5°, I 23
67.1°, I 21
27.5°, I 20
39.9°, I 19
18.3°, I 14
55.7°, I 14
53.6°, I 14
42.7°, I 14

Crystal structure
Cell lengths 4.836, 4.836, 10.214 Å; angles 90.00, 90.00, 90.00 degrees
Atoms (fractional coordinates):
Na1 0.000 0.000 0.000
In1 0.000 0.500 0.310
In2 0.000 0.500 0.690
In3 0.500 0.000 0.310
In4 0.500 0.000 0.690
Sn1 0.000 0.000 0.500
Hg1 0.500 0.500 0.136
Hg2 0.500 0.500 0.864

=====

This entry pairs a crystal structure of NaInSnHg with its simulated X-ray powder pattern. Radiation: copper Kα. Structure: a DFT-relaxed cell (PBE, Alexandria).
Peak positions follow from Bragg's law for the DFT cell and can differ from measured ones.

Principal peaks in the range 2θ = 10–90°, by intensity:
22.7°, I 100
38.7°, I 87
31.0°, I 86
60.3°, I 48
40.3°, I 37
44.4°, I 32
25.1°, I 31
50.4°, I 25
51.7°, I 18
73.4°, I 15

Crystal structure
Cell lengths 4.081, 4.081, 14.180 Å; angles 90.00, 90.00, 90.00 degrees
Atoms (fractional coordinates):
Na1 0.000 0.000 0.000
Na2 0.500 0.500 0.500
In1 0.000 0.000 0.226
In2 0.500 0.500 0.726
Sn1 0.000 0.000 0.640
Sn2 0.500 0.500 0.140
Hg1 0.000 0.000 0.424
Hg2 0.500 0.500 0.924

=====

This entry pairs a crystal structure of NaSrInHg with its simulated X-ray powder pattern. Radiation: copper Kα. Structure: a DFT-relaxed cell (PBE, Alexandria).
Peak positions follow from Bragg's law for the DFT cell and can differ from measured ones.

Principal peaks in the range 2θ = 10–90°, by intensity:
32.3°, I 100
32.6°, I 49
58.0°, I 37
22.9°, I 26
57.4°, I 19
19.7°, I 19
46.8°, I 18
22.5°, I 14
40.0°, I 13
67.6°, I 12

Crystal structure
Cell lengths 5.491, 5.491, 7.918 Å; angles 90.00, 90.00, 90.00 degrees
Atoms (fractional coordinates):
Na1 0.000 0.000 0.000
Na2 0.500 0.500 0.500
Sr1 0.000 0.000 0.500
Sr2 0.500 0.500 0.000
In1 0.000 0.500 0.750
In2 0.500 0.000 0.250
Hg1 0.000 0.500 0.250
Hg2 0.500 0.000 0.750

=====

This entry pairs a crystal structure of NaTl2In2Hg with its simulated X-ray powder pattern. Radiation: copper Kα. Structure: a DFT-relaxed cell (PBE, Alexandria).
Peak positions follow from Bragg's law for the DFT cell and can differ from measured ones.

Principal peaks in the range 2θ = 10–90°, by intensity:
33.5°, I 100
32.8°, I 70
32.4°, I 55
43.3°, I 45
26.6°, I 40
33.2°, I 37
47.0°, I 28
65.9°, I 28
18.7°, I 24
42.4°, I 24

Crystal structure
Cell lengths 5.529, 9.161, 6.690 Å; angles 90.00, 90.00, 90.00 degrees
Atoms (fractional coordinates):
Na1 0.000 0.001 0.000
Na2 0.000 0.999 0.500
Tl1 0.000 0.327 0.254
Tl2 0.000 0.673 0.754
Tl3 0.500 0.170 0.746
Tl4 0.500 0.830 0.246
In1 0.000 0.339 0.753
In2 0.000 0.661 0.253
In3 0.500 0.498 0.002
In4 0.500 0.502 0.502
Hg1 0.500 0.168 0.247
Hg2 0.500 0.832 0.747

=====

This entry pairs a crystal structure of Na3Tl4In2Hg2 with its simulated X-ray powder pattern. Radiation: copper Kα. Structure: a DFT-relaxed cell (PBE, Alexandria).
Peak positions follow from Bragg's law for the DFT cell and can differ from measured ones.

Principal peaks in the range 2θ = 10–90°, by intensity:
34.3°, I 100
43.6°, I 77
19.6°, I 72
32.8°, I 57
26.1°, I 50
65.2°, I 22
67.9°, I 21
60.5°, I 20
48.2°, I 20
61.5°, I 19

Crystal structure
Cell lengths 5.224, 5.224, 13.676 Å; angles 90.00, 90.00, 120.00 degrees
Atoms (fractional coordinates):
Na1 0.000 0.000 0.000
Na2 0.000 0.000 0.261
Na3 0.000 0.000 0.739
Tl1 0.333 0.667 0.394
Tl2 0.333 0.667 0.865
Tl3 0.667 0.333 0.135
Tl4 0.667 0.333 0.606
In1 0.333 0.667 0.627
In2 0.667 0.333 0.373
Hg1 0.333 0.667 0.118
Hg2 0.667 0.333 0.882

=====

This entry pairs a crystal structure of Nd5InHg3 with its simulated X-ray powder pattern. Radiation: copper Kα. Structure: a DFT-relaxed cell (PBE, Alexandria).
Peak positions follow from Bragg's law for the DFT cell and can differ from measured ones.

Principal peaks in the range 2θ = 10–90°, by intensity:
32.7°, I 100
32.4°, I 100
46.7°, I 30
64.5°, I 28
31.7°, I 28
58.2°, I 27
26.2°, I 14
42.4°, I 14
41.8°, I 13
61.3°, I 13

Crystal structure
Cell lengths 9.477, 9.477, 6.803 Å; angles 90.00, 90.00, 120.00 degrees
Atoms (fractional coordinates):
Nd1 0.000 0.296 0.250
Nd2 0.000 0.704 0.750
Nd3 0.296 0.000 0.250
Nd4 0.296 0.296 0.750
Nd5 0.333 0.667 0.000
Nd6 0.333 0.667 0.500
Nd7 0.667 0.333 0.000
Nd8 0.667 0.333 0.500
Nd9 0.704 0.000 0.750
Nd10 0.704 0.704 0.250
In1 0.000 0.000 0.000
In2 0.000 0.000 0.500
Hg1 0.000 0.368 0.750
Hg2 0.000 0.632 0.250
Hg3 0.368 0.000 0.750
Hg4 0.368 0.368 0.250
Hg5 0.632 0.000 0.250
Hg6 0.632 0.632 0.750

=====

This entry pairs a crystal structure of NdIn7Hg12 with its simulated X-ray powder pattern. Radiation: copper Kα. Structure: a DFT-relaxed cell (PBE, Alexandria).
Peak positions follow from Bragg's law for the DFT cell and can differ from measured ones.

Principal peaks in the range 2θ = 10–90°, by intensity:
34.5°, I 100
37.6°, I 65
28.5°, I 32
32.4°, I 28
25.2°, I 25
26.3°, I 23
59.6°, I 22
36.8°, I 19
28.8°, I 13
39.7°, I 13

Crystal structure
Cell lengths 8.563, 8.563, 8.563 Å; angles 104.18, 104.18, 104.18 degrees
Atoms (fractional coordinates):
Nd1 0.000 0.000 0.000
In1 0.115 0.407 0.238
In2 0.238 0.115 0.407
In3 0.407 0.238 0.115
In4 0.500 0.500 0.500
In5 0.593 0.762 0.885
In6 0.762 0.885 0.593
In7 0.885 0.593 0.762
Hg1 0.107 0.729 0.176
Hg2 0.146 0.438 0.621
Hg3 0.176 0.107 0.729
Hg4 0.271 0.824 0.893
Hg5 0.379 0.854 0.562
Hg6 0.438 0.621 0.146
Hg7 0.562 0.379 0.854
Hg8 0.621 0.146 0.438
Hg9 0.729 0.176 0.107
Hg10 0.824 0.893 0.271
Hg11 0.854 0.562 0.379
Hg12 0.893 0.271 0.824

=====

This entry pairs a crystal structure of Nd8In2Hg with its simulated X-ray powder pattern. Radiation: copper Kα. Structure: a DFT-relaxed cell (PBE, Alexandria).
Peak positions follow from Bragg's law for the DFT cell and can differ from measured ones.

Principal peaks in the range 2θ = 10–90°, by intensity:
33.0°, I 100
32.7°, I 31
58.5°, I 19
30.9°, I 18
31.5°, I 17
46.0°, I 12
22.7°, I 10
59.9°, I 10
48.7°, I 9
60.3°, I 9

Crystal structure
Cell lengths 9.704, 9.704, 9.704 Å; angles 147.20, 134.66, 57.09 degrees
Atoms (fractional coordinates):
Nd1 0.131 0.361 0.770
Nd2 0.193 0.193 0.000
Nd3 0.262 0.000 0.262
Nd4 0.408 0.639 0.770
Nd5 0.592 0.361 0.230
Nd6 0.738 0.000 0.738
Nd7 0.807 0.807 0.000
Nd8 0.869 0.639 0.230
In1 0.313 0.813 0.500
In2 0.687 0.187 0.500
Hg1 0.000 0.500 0.500

=====

This entry pairs a crystal structure of Nd4InHg7 with its simulated X-ray powder pattern. Radiation: copper Kα. Structure: a DFT-relaxed cell (PBE, Alexandria).
Peak positions follow from Bragg's law for the DFT cell and can differ from measured ones.

Principal peaks in the range 2θ = 10–90°, by intensity:
33.7°, I 100
32.6°, I 77
38.7°, I 55
29.1°, I 54
44.3°, I 35
58.9°, I 23
27.2°, I 22
38.0°, I 20
23.0°, I 19
37.4°, I 16

Crystal structure
Cell lengths 7.303, 7.303, 10.992 Å; angles 119.07, 119.07, 44.18 degrees
Atoms (fractional coordinates):
Nd1 0.079 0.079 0.277
Nd2 0.242 0.242 0.821
Nd3 0.758 0.758 0.179
Nd4 0.921 0.921 0.723
In1 0.500 0.500 0.500
Hg1 0.000 0.000 0.500
Hg2 0.137 0.137 0.033
Hg3 0.308 0.308 0.580
Hg4 0.418 0.418 0.161
Hg5 0.582 0.582 0.839
Hg6 0.692 0.692 0.420
Hg7 0.863 0.863 0.967

=====

This entry pairs a crystal structure of NdInHg3 with its simulated X-ray powder pattern. Radiation: copper Kα. Structure: a DFT-relaxed cell (PBE, Alexandria).
Peak positions follow from Bragg's law for the DFT cell and can differ from measured ones.

Principal peaks in the range 2θ = 10–90°, by intensity:
33.2°, I 100
36.9°, I 19
37.5°, I 18
64.1°, I 15
64.9°, I 15
41.2°, I 13
53.6°, I 13
69.8°, I 12
70.1°, I 11
56.5°, I 11

Crystal structure
Cell lengths 4.875, 4.802, 11.218 Å; angles 90.00, 102.49, 90.00 degrees
Atoms (fractional coordinates):
Nd1 0.147 0.250 0.295
Nd2 0.853 0.750 0.705
In1 0.342 0.250 0.685
In2 0.658 0.750 0.315
Hg1 0.048 0.750 0.093
Hg2 0.251 0.750 0.501
Hg3 0.448 0.750 0.898
Hg4 0.552 0.250 0.102
Hg5 0.749 0.250 0.499
Hg6 0.952 0.250 0.907

=====

This entry pairs a crystal structure of Nd6InHg2 with its simulated X-ray powder pattern. Radiation: copper Kα. Structure: a DFT-relaxed cell (PBE, Alexandria).
Peak positions follow from Bragg's law for the DFT cell and can differ from measured ones.

Principal peaks in the range 2θ = 10–90°, by intensity:
32.2°, I 100
32.1°, I 99
31.7°, I 97
29.6°, I 91
34.4°, I 69
54.2°, I 52
38.0°, I 28
12.1°, I 27
36.2°, I 27
52.2°, I 18

Crystal structure
Cell lengths 9.068, 9.068, 9.068 Å; angles 110.48, 109.76, 108.18 degrees
Atoms (fractional coordinates):
Nd1 0.049 0.824 0.225
Nd2 0.250 0.551 0.301
Nd3 0.250 0.950 0.699
Nd4 0.270 0.320 0.590
Nd5 0.270 0.680 0.950
Nd6 0.400 0.176 0.225
Nd7 0.600 0.824 0.775
Nd8 0.730 0.320 0.050
Nd9 0.730 0.680 0.410
Nd10 0.750 0.050 0.301
Nd11 0.750 0.449 0.699
Nd12 0.951 0.176 0.775
In1 0.000 0.500 0.500
In2 0.500 0.000 0.500
Hg1 0.000 0.147 0.147
Hg2 0.000 0.853 0.853
Hg3 0.363 0.363 0.000
Hg4 0.637 0.637 0.000